(1)
The following is a calculated X-ray diffraction stick pattern of HgPd3Cl9. It was derived from the GGA-PBE geometry in Alexandria, using Cu Kα (weighted mean of Kα1 and Kα2).
No peak broadening, texture or thermal motion is included.

The 6 most intense peaks (2θ from 15° to 90°), in order of rising 2θ:
18.53°, rel. 86, hkl 1 1 1
20.58°, rel. 100, hkl 3 1 -2
20.67°, rel. 45, hkl 3 1 0
25.21°, rel. 40, hkl 2 0 2
32.49°, rel. 34, hkl 4 2 -1
32.74°, rel. 31, hkl 3 1 -4

a = 20.949 Å, b = 6.515 Å, c = 12.241 Å
α = 90.00°, β = 125.04°, γ = 90.00°
Space group Cc (No. 9)
Asymmetric unit:
Hg: 0.000 0.142 0.000 [4 per cell]
Pd: 0.136 0.321 0.830 [4 per cell]
Pd: 0.273 0.429 0.708 [4 per cell]
Pd: 0.376 0.005 0.611 [4 per cell]
Cl: 0.006 0.413 0.168 [4 per cell]
Cl: 0.056 0.097 0.850 [4 per cell]
Cl: 0.116 0.108 0.656 [4 per cell]
Cl: 0.155 0.447 0.495 [4 per cell]
Cl: 0.205 0.439 0.290 [4 per cell]
Cl: 0.251 0.113 0.999 [4 per cell]
Cl: 0.347 0.353 0.628 [4 per cell]
Cl: 0.382 0.373 0.926 [4 per cell]
Cl: 0.395 0.115 0.312 [4 per cell]


(2)
The following is a calculated X-ray diffraction stick pattern of RbHgPdCl5. It was derived from the GGA-PBE geometry in Alexandria, using Cu Kα (weighted mean of Kα1 and Kα2).
No peak broadening, texture or thermal motion is included.

The 6 most intense peaks (2θ from 15° to 90°), in order of rising 2θ:
16.73°, rel. 30, hkl 1 1 1
17.73°, rel. 100, hkl 2 0 0
22.71°, rel. 39, hkl 1 1 -2
23.77°, rel. 51, hkl 1 3 0
25.92°, rel. 40, hkl 0 2 2
26.77°, rel. 34, hkl 1 3 1

a = 10.183 Å, b = 12.110 Å, c = 8.500 Å
α = 90.00°, β = 100.71°, γ = 90.00°
Space group C2/c (No. 15)
Asymmetric unit:
Rb: 0.000 0.126 0.250 [4 per cell]
Hg: 0.000 0.209 0.750 [4 per cell]
Pd: 0.000 0.500 0.000 [4 per cell]
Cl: 0.000 0.419 0.250 [4 per cell]
Cl: 0.135 0.352 0.606 [8 per cell]
Cl: 0.155 0.101 0.949 [8 per cell]


(3)
The following is a calculated X-ray diffraction stick pattern of Tl2Hg2PdCl8. It was derived from the GGA-PBE geometry in Alexandria, using Cu Kα (weighted mean of Kα1 and Kα2).
No peak broadening, texture or thermal motion is included.

The 6 most intense peaks (2θ from 15° to 90°), in order of rising 2θ:
18.98°, rel. 100, hkl 1 1 1
25.65°, rel. 55, hkl 0 2 0
26.52°, rel. 69, hkl 3 1 -1
29.34°, rel. 89, hkl 1 1 -3
32.95°, rel. 49, hkl 2 2 -2
38.50°, rel. 34, hkl 2 2 2

a = 11.551 Å, b = 6.947 Å, c = 10.164 Å
α = 90.00°, β = 108.32°, γ = 90.00°
Space group C2/m (No. 12)
Asymmetric unit:
Tl: 0.106 0.000 0.350 [4 per cell]
Hg: 0.134 0.500 0.899 [4 per cell]
Pd: 0.000 0.500 0.500 [2 per cell]
Cl: 0.080 0.500 0.191 [4 per cell]
Cl: 0.133 0.264 0.624 [8 per cell]
Cl: 0.154 0.000 0.004 [4 per cell]


(4)
The following is a calculated X-ray diffraction stick pattern of Pu4HgCl8. It was derived from the GGA-PBE geometry in Alexandria, using Cu Kα (weighted mean of Kα1 and Kα2).
No peak broadening, texture or thermal motion is included.

The 6 most intense peaks (2θ from 15° to 90°), in order of rising 2θ:
19.04°, rel. 68, hkl 4 0 -1
19.86°, rel. 67, hkl 2 0 -3
25.88°, rel. 100, hkl 3 1 -1
26.02°, rel. 65, hkl 1 1 -2
34.68°, rel. 69, hkl 5 1 -4
45.10°, rel. 57, hkl 1 1 4

a = 20.118 Å, b = 4.056 Å, c = 13.903 Å
α = 90.00°, β = 131.64°, γ = 90.00°
Space group Cm (No. 8)
Asymmetric unit:
Pu: 0.000 0.000 0.000 [2 per cell]
Pu: 0.009 0.500 0.356 [2 per cell]
Pu: 0.180 0.000 0.685 [2 per cell]
Pu: 0.189 0.500 0.041 [2 per cell]
Hg: 0.346 0.500 0.522 [2 per cell]
Cl: 0.003 0.500 0.863 [2 per cell]
Cl: 0.053 0.500 0.594 [2 per cell]
Cl: 0.136 0.000 0.447 [2 per cell]
Cl: 0.186 0.000 0.178 [2 per cell]
Cl: 0.201 0.000 0.910 [2 per cell]
Cl: 0.311 0.500 0.795 [2 per cell]
Cl: 0.378 0.500 0.246 [2 per cell]
Cl: 0.488 0.000 0.131 [2 per cell]